Simulated X-ray diffraction stick pattern
Compound: Ce4Ge6Ir7
Radiation: Cu Kα X-rays
Structure: a cell relaxed with PBE

Most intense lines, 2θ = 10–80°, sorted by position:
- 2θ 25.67, I = 27
- 2θ 36.62, I = 100
- 2θ 39.67, I = 46
- 2θ 42.54, I = 72
- 2θ 61.73, I = 40
- 2θ 73.97, I = 30

Structure:
```
17
Lattice="-4.2502 4.2502 4.2502 4.2502 -4.2502 4.2502 4.2502 4.2502 -4.2502" Properties=species:S:1:pos:R:3 pbc="T T T"
Ce 2.1251 2.1251 -2.1251
Ce 2.1251 -2.1251 2.1251
Ce -2.1251 2.1251 2.1251
Ce 2.1251 2.1251 2.1251
Ge 2.7111 0.0000 0.0000
Ge 5.7893 0.0000 0.0000
Ge 0.0000 2.7111 0.0000
Ge 0.0000 0.0000 2.7111
Ge 0.0000 5.7893 0.0000
Ge 0.0000 0.0000 5.7893
Ir 0.0000 0.0000 0.0000
Ir 4.2502 2.1251 0.0000
Ir 4.2502 0.0000 2.1251
Ir 2.1251 4.2502 0.0000
Ir 2.1251 0.0000 4.2502
Ir 0.0000 4.2502 2.1251
Ir 0.0000 2.1251 4.2502
```